Diffraction record for Ce2Ga9Rh3. The powder diffraction line list is simulated, not measured: it uses DFT lattice parameters and positions (PBE) and CuKα.
No peak broadening, texture or thermal motion is included.

Crystal structure
```
data_Ce2Ga9Rh3
_symmetry_space_group_name_H-M 'C m c m'
_symmetry_Int_Tables_number 63
_symmetry_space_group_name_Hall '-C 2c 2'
_cell_length_a 13.2283
_cell_length_b 7.6803
_cell_length_c 9.5093
_cell_angle_alpha 90.00
_cell_angle_beta 90.00
_cell_angle_gamma 90.00
loop_
_atom_site_label
_atom_site_fract_x
_atom_site_fract_y
_atom_site_fract_z
Ce1 0.1649 0.1660 0.2500
Ga1 0.0000 0.1284 0.7500
Ga2 0.0000 0.3338 0.0642
Ga3 0.1029 0.4425 0.7500
Ga4 0.1662 0.1684 0.5786
Rh1 0.0000 0.0000 0.0000
Rh2 0.1708 0.5000 0.0000
```

Largest 10 diffraction maxima, low angle first, 10° ≤ 2θ ≤ 90°:
(3 1 2), 30.0 deg, rel. 20.6
(3 1 3), 36.8 deg, rel. 100.0
(4 2 1), 37.1 deg, rel. 13.4
(0 0 4), 37.8 deg, rel. 17.8
(3 3 0), 40.8 deg, rel. 70.7
(6 0 0), 40.9 deg, rel. 29.6
(0 2 4), 44.9 deg, rel. 15.8
(3 1 6), 63.5 deg, rel. 14.5
(3 5 3), 71.5 deg, rel. 11.7
(6 4 3), 71.7 deg, rel. 11.4